LaTa2NO5: theoretical X-ray diffraction stick pattern (Cu Kα, 1.54184 Å), based on a DFT-relaxed cell (PBE, the Materials Project).

Cell and atoms:
Lattice parameters (Å, degrees): 7.7347 5.5334 11.3117 90.00 90.05 90.00
Space group Pc (No. 7)
Asymmetric unit:
La (0.0000, 0.2043, 0.0000) x2
La (0.4869, 0.2962, 0.9202) x2
Ta (0.2362, 0.2108, 0.3070) x2
Ta (0.2417, 0.2950, 0.6009) x2
Ta (0.7452, 0.2079, 0.3135) x2
Ta (0.7474, 0.2843, 0.5981) x2
N (0.1889, 0.3779, 0.1649) x2
N (0.9906, 0.2014, 0.6000) x2
O (0.2095, 0.4749, 0.4295) x2
O (0.2794, 0.0165, 0.4794) x2
O (0.3017, 0.1196, 0.7461) x2
O (0.4940, 0.3993, 0.5761) x2
O (0.4950, 0.2947, 0.3135) x2
O (0.6840, 0.1158, 0.7445) x2
O (0.7053, 0.0189, 0.4779) x2
O (0.7763, 0.4760, 0.4315) x2
O (0.7939, 0.3803, 0.1691) x2
O (0.9898, 0.1007, 0.3333) x2

Largest 10 diffraction maxima, by angle, 2θ = 10–90°:
2theta  d (Å)  I_rel  index
23.00  3.867  260  2 0 0
27.95  3.192  209  2 0 2
28.65  3.116  866  0 1 3
29.26  3.052  1000  2 1 -1
32.36  2.766  363  0 2 0
37.05  2.426  182  2 1 3
46.99  1.934  197  4 0 0
51.93  1.761  245  2 2 -4
55.97  1.643  280  4 1 -3
57.75  1.596  267  2 3 2